Starting from a DFT-relaxed cell (GGA-PBE, the Materials Project), the powder diffractogram of V4Os was calculated for Cu Kα (λ = 1.5418 Å).
Neutral-atom scattering factors, no anomalous dispersion.

```
5
Lattice="0.000 2.195 10.298 1.511 0.000 10.298 1.511 2.195 0.000" Properties=species:S:1:pos:R:3 pbc="T T T"
V 1.511 2.195 2.091
V 1.511 2.195 6.167
V 1.511 2.195 14.429
V 1.511 2.195 18.505
Os 1.511 2.195 10.298
```

Most intense lines, 2θ from 10° to 80°, by angle:
d/Å	2theta	I (rel.)
5.149	17.22	29
2.472	36.35	19
2.340	38.46	18
2.195	41.12	27
2.131	42.42	100
2.060	43.96	22

Starting from a DFT-relaxed cell (GGA-PBE, the Materials Project), the powder diffractogram of Nb2Cd2O7 was calculated for Cu Kα (λ = 1.5418 Å).
Neutral-atom scattering factors, no anomalous dispersion.

```
22
Lattice="0.000 5.132 5.132 5.132 0.000 5.132 5.132 5.132 0.000" Properties=species:S:1:pos:R:3 pbc="T T T"
Nb 0.000 0.000 0.000
Nb 2.566 2.566 0.000
Nb 2.566 0.000 2.566
Nb 0.000 2.566 2.566
Cd 5.132 2.566 2.566
Cd 2.566 5.132 2.566
Cd 2.566 2.566 5.132
Cd 5.132 5.132 5.132
O 3.849 3.849 1.109
O 3.849 1.109 3.849
O 6.589 3.849 3.849
O 1.283 1.283 1.283
O 6.415 6.415 3.675
O 6.415 3.675 6.415
O 9.155 6.415 6.415
O 1.109 3.849 3.849
O 3.849 6.589 3.849
O 3.849 3.849 6.589
O 8.981 8.981 8.981
O 3.675 6.415 6.415
O 6.415 9.155 6.415
O 6.415 6.415 9.155
```

Most intense lines, 2θ from 10° to 80°, by angle:
d/Å	2theta	I (rel.)
2.963	30.16	100
2.566	34.97	27
1.814	50.29	53
1.547	59.77	40
1.481	62.72	7
1.283	73.87	7